KZn2InPt: computed powder X-ray diffraction pattern (λ = 1.5418 Å (Cu Kα)), based on a GGA-PBE-relaxed structure.
Lines closer than 0.1° are merged.

Main lines, low angle first (10° ≤ 2θ ≤ 90°):
17.22 deg, I 23, hkl 0 0 1; 17.68 deg, I 100, hkl 1 0 0; 25.11 deg, I 26, hkl 1 1 0; 34.85 deg, I 32, hkl 0 0 2; 35.81 deg, I 60, hkl 2 0 0; 39.34 deg, I 28, hkl 1 0 2; 40.20 deg, I 26, hkl 2 1 0; 50.83 deg, I 43, hkl 2 0 2; 54.24 deg, I 22, hkl 2 1 2; 63.73 deg, I 22, hkl 2 2 2

Structure:
abc: 5.016 5.016 5.149
angles: 90.00 90.00 90.00
Space group P4/mmm (No. 123)
One atom of each set of equivalent atoms:
K 0.000 0.000 0.000 [1 per cell]
Zn 0.000 0.500 0.500 [2 per cell]
In 0.500 0.500 0.000 [1 per cell]
Pt 0.500 0.500 0.500 [1 per cell]